[1]
Diffraction record for BaP2Pt8. The powder X-ray diffraction pattern is computed, not measured: it uses a structure optimized by DFT (PBE) and λ = 1.5418 Å (Cu Kα).
Intensities are scaled so that the largest is 100.

Principal peaks in the range 2θ from 5° to 70°, by angle:
2θ/deg	I/Imax	h k l
10.4	100	0 0 2
31.7	50	0 0 6
33.1	64	2 0 0
34.8	36	2 0 2
39.5	55	2 0 4
46.4	58	2 0 6
47.5	39	2 2 0
58.2	36	2 2 6

Structural model:
a = 5.4190 Å, b = 5.4190 Å, c = 16.9433 Å
α = 90.00°, β = 90.00°, γ = 90.00°
Space group I4/mmm (No. 139)
Unique sites:
Ba 0.0000 0.0000 0.0000
P 0.0000 0.5000 0.2500
Pt 0.2482 0.2482 0.3381



[2]
Diffraction record for RbBa2P2S6. The powder X-ray diffraction pattern is computed, not measured: it uses a structure optimized by DFT (PBE) and λ = 1.5418 Å (Cu Kα).
Intensities are scaled so that the largest is 100.

Principal peaks in the range 2θ from 5° to 70°, by angle:
2θ/deg	I/Imax	h k l
9.9	51	0 0 3
22.6	100	0 1 5
26.4	63	1 1 0
31.3	33	2 0 2
33.5	37	0 2 4
35.0	67	2 0 5
37.0	31	1 0 10
44.4	34	1 2 5

Structural model:
a = 6.7458 Å, b = 6.7458 Å, c = 26.7034 Å
α = 90.00°, β = 90.00°, γ = 120.00°
Space group R-3m (No. 166, hexagonal axes)
Unique sites:
Rb 0.0000 0.0000 0.0000
Ba 0.0000 0.0000 0.2088
P 0.0000 0.0000 0.4124
S 0.0033 0.5017 0.7701



[3]
Diffraction record for RbBaP2Se8. The powder X-ray diffraction pattern is computed, not measured: it uses a structure optimized by DFT (PBE) and λ = 1.5418 Å (Cu Kα).
Intensities are scaled so that the largest is 100.

Principal peaks in the range 2θ from 5° to 70°, by angle:
2θ/deg	I/Imax	h k l
9.0	100	0 0 1
18.1	59	1 1 1
27.3	43	0 0 3
28.3	39	4 0 -1
28.4	73	3 1 1
29.6	80	2 2 0
30.0	50	2 2 -1
33.1	100	2 2 -2

Structural model:
a = 12.6678 Å, b = 6.9227 Å, c = 10.0450 Å
α = 90.00°, β = 102.85°, γ = 90.00°
Space group C2/m (No. 12)
Unique sites:
Rb 0.0000 0.0000 0.0000
Ba 0.0000 0.5000 0.5000
P 0.2400 0.5000 0.2820
Se 0.0831 0.0000 0.6795
Se 0.1327 0.5000 0.0807
Se 0.1812 0.2347 0.3761



[4]
Diffraction record for Ba2P2Rh3. The powder X-ray diffraction pattern is computed, not measured: it uses a structure optimized by DFT (PBE) and λ = 1.5418 Å (Cu Kα).
Intensities are scaled so that the largest is 100.

Principal peaks in the range 2θ from 5° to 70°, by angle:
2θ/deg	I/Imax	h k l
28.8	58	0 2 1
31.1	38	1 2 -1
31.6	74	1 0 2
32.4	100	2 1 -1
33.5	41	2 1 0
34.3	59	1 2 1
36.9	73	1 1 -3
53.7	35	3 1 1

Structural model:
a = 6.0829 Å, b = 6.7893 Å, c = 7.9161 Å
α = 90.00°, β = 106.64°, γ = 90.00°
Space group P2_1/c (No. 14)
Unique sites:
Ba 0.1936 0.1161 0.4011
P 0.3474 0.6623 0.6273
Rh 0.0000 0.0000 0.0000
Rh 0.3911 0.6009 0.3447



[5]
Diffraction record for Ba2PRh2. The powder X-ray diffraction pattern is computed, not measured: it uses a structure optimized by DFT (PBE) and λ = 1.5418 Å (Cu Kα).
Intensities are scaled so that the largest is 100.

Principal peaks in the range 2θ from 5° to 70°, by angle:
2θ/deg	I/Imax	h k l
26.1	25	1 1 -2
30.0	78	1 1 2
30.1	100	3 1 -1
33.0	28	4 0 -3
35.6	33	0 0 4
36.4	35	4 0 1
40.5	21	3 1 -4
41.2	33	0 2 0

Structural model:
a = 12.0840 Å, b = 4.3846 Å, c = 10.8803 Å
α = 90.00°, β = 112.16°, γ = 90.00°
Space group C2/m (No. 12)
Unique sites:
Ba 0.1106 0.0000 0.4085
Ba 0.2122 0.5000 0.1462
P 0.0578 0.5000 0.8269
Rh 0.0337 0.0000 0.8949
Rh 0.0772 0.5000 0.6257



[6]
Diffraction record for BaSrPRh. The powder X-ray diffraction pattern is computed, not measured: it uses a structure optimized by DFT (PBE) and λ = 1.5418 Å (Cu Kα).
Intensities are scaled so that the largest is 100.

Principal peaks in the range 2θ from 5° to 70°, by angle:
2θ/deg	I/Imax	h k l
26.3	26	1 0 2
28.6	100	1 1 1
32.2	69	0 1 3
37.8	31	0 2 0
38.0	39	1 1 3
39.8	27	2 0 0
40.4	23	1 0 4
52.1	35	2 1 3

Structural model:
a = 4.5296 Å, b = 4.7573 Å, c = 10.2559 Å
α = 90.00°, β = 90.00°, γ = 90.00°
Space group Amm2 (No. 38)
Unique sites:
Ba 0.0000 0.0000 0.0000
Sr 0.5000 0.0000 0.2938
P 0.5000 0.0000 0.6110
Rh 0.0000 0.0000 0.6965



[7]
Diffraction record for Ba2PS2. The powder X-ray diffraction pattern is computed, not measured: it uses a structure optimized by DFT (PBE) and λ = 1.5418 Å (Cu Kα).
Intensities are scaled so that the largest is 100.

Principal peaks in the range 2θ from 5° to 70°, by angle:
2θ/deg	I/Imax	h k l
20.5	45	1 1 0
22.5	56	0 0 2
29.2	100	2 0 0
30.6	84	1 1 2
37.1	67	2 0 2
41.7	36	2 2 0
47.9	35	2 2 2
52.6	37	3 1 2

Structural model:
a = 6.1204 Å, b = 6.1204 Å, c = 7.9152 Å
α = 90.00°, β = 90.00°, γ = 90.00°
Space group I4/mmm (No. 139)
Unique sites:
Ba 0.0000 0.5000 0.2500
P 0.0000 0.0000 0.0000
S 0.0000 0.0000 0.3187



[8]
Diffraction record for Ba6PS4. The powder X-ray diffraction pattern is computed, not measured: it uses a structure optimized by DFT (PBE) and λ = 1.5418 Å (Cu Kα).
Intensities are scaled so that the largest is 100.

Principal peaks in the range 2θ from 5° to 70°, by angle:
2θ/deg	I/Imax	h k l
23.5	44	1 1 3
24.1	32	0 4 1
26.1	100	0 2 6
26.8	34	1 3 1
27.7	79	1 3 2
29.0	41	1 3 3
41.1	41	1 1 9
48.1	37	2 2 6

Structural model:
a = 4.5419 Å, b = 14.9735 Å, c = 22.9682 Å
α = 90.00°, β = 90.00°, γ = 90.00°
Space group Cmcm (No. 63)
Unique sites:
Ba 0.0000 0.0000 0.0000
Ba 0.0000 0.1883 0.2500
Ba 0.0000 0.2761 0.5834
Ba 0.0000 0.4499 0.1663
P 0.0000 0.1575 0.7500
S 0.0000 0.0916 0.1268
S 0.0000 0.3620 0.0428



Q: Number 3 is which compound?
A: RbBaP2Se8